Record 1
The following is a calculated XRD peak list of Y4TmIn3. It was derived from a cell relaxed with GGA-PBE, using copper Kα.
Lines closer than 0.1° are merged.

Largest 12 diffraction maxima, sorted by position, 10 to 90 degrees two-theta:
| Position (°2θ) | intensity | h k l |
| --- | --- | --- |
| 23.2 | 6.8 | 1 0 4 |
| 30.1 | 11.7 | 1 0 7 |
| 32.8 | 88.9 | 0 1 8 |
| 33.4 | 100.0 | 1 1 0 |
| 47.5 | 30.9 | 2 0 8 |
| 58.1 | 9.7 | 1 0 16 |
| 59.3 | 31.2 | 1 2 8 |
| 59.8 | 18.2 | 3 0 0 |
| 62.1 | 8.9 | 1 1 15 |
| 70.2 | 11.1 | 2 2 0 |
| 78.6 | 7.9 | 2 1 16 |
| 79.7 | 13.1 | 3 1 8 |

```
data_Y4TmIn3
_chemical_formula_sum 'Y12 Tm3 In9'
_symmetry_space_group_name_H-M 'R -3 m'
_symmetry_Int_Tables_number 166
_symmetry_space_group_name_Hall '-R 3 2"'
_cell_length_a 5.3601
_cell_length_b 5.3601
_cell_length_c 27.0374
_cell_angle_alpha 90.00
_cell_angle_beta 90.00
_cell_angle_gamma 120.00
loop_
_atom_site_label
_atom_site_fract_x
_atom_site_fract_y
_atom_site_fract_z
_atom_site_occupancy
Y1 0.0000 0.0000 0.1153 1
Y2 0.0000 0.0000 0.3705 1
Tm1 0.0000 0.0000 0.5000 1
In1 0.0000 0.0000 0.0000 1
In2 0.0000 0.0000 0.2372 1
```



Record 2
The following is a calculated XRD peak list of PrThTl. It was derived from a cell relaxed with GGA-PBE, using copper Kα.
Lines closer than 0.1° are merged.

Largest 12 diffraction maxima, sorted by position, 10 to 90 degrees two-theta:
| Position (°2θ) | intensity | h k l |
| --- | --- | --- |
| 10.1 | 20.6 | 0 0 2 |
| 28.5 | 90.6 | 1 1 2 |
| 30.6 | 31.7 | 0 0 6 |
| 31.7 | 20.1 | 1 0 5 |
| 33.7 | 100.0 | 1 1 4 |
| 37.9 | 58.2 | 2 0 0 |
| 49.5 | 34.0 | 2 0 6 |
| 54.7 | 20.5 | 2 2 0 |
| 59.5 | 11.6 | 1 1 10 |
| 62.9 | 20.1 | 3 1 2 |
| 64.0 | 15.9 | 2 2 6 |
| 65.8 | 29.8 | 3 1 4 |

```
data_PrThTl
_chemical_formula_sum 'Pr4 Th4 Tl4'
_symmetry_space_group_name_H-M 'I 4/m m m'
_symmetry_Int_Tables_number 139
_symmetry_space_group_name_Hall '-I 4 2'
_cell_length_a 4.7433
_cell_length_b 4.7433
_cell_length_c 17.5272
_cell_angle_alpha 90.00
_cell_angle_beta 90.00
_cell_angle_gamma 90.00
loop_
_atom_site_label
_atom_site_fract_x
_atom_site_fract_y
_atom_site_fract_z
_atom_site_occupancy
Pr1 0.0000 0.0000 0.1781 1
Th1 0.0000 0.5000 0.0000 1
Tl1 0.0000 0.0000 0.3624 1
```



Record 3
The following is a calculated XRD peak list of Dy5Cd2. It was derived from a cell relaxed with GGA-PBE, using copper Kα.
Lines closer than 0.1° are merged.

Largest 12 diffraction maxima, sorted by position, 10 to 90 degrees two-theta:
| Position (°2θ) | intensity | h k l |
| --- | --- | --- |
| 28.3 | 18.6 | 2 0 -2 |
| 29.3 | 48.3 | 1 1 -2 |
| 29.6 | 23.8 | 2 2 1 |
| 30.2 | 51.0 | 5 1 0 |
| 32.9 | 85.7 | 4 2 0 |
| 34.3 | 100.0 | 4 0 2 |
| 35.8 | 78.3 | 0 2 2 |
| 37.0 | 24.2 | 1 3 0 |
| 53.5 | 18.7 | 0 0 4 |
| 54.0 | 33.2 | 5 3 2 |
| 59.4 | 16.9 | 9 1 2 |
| 64.2 | 31.8 | 4 2 4 |

```
data_Dy5Cd2
_chemical_formula_sum 'Dy20 Cd8'
_symmetry_space_group_name_H-M 'C 1 2/c 1'
_symmetry_Int_Tables_number 15
_symmetry_space_group_name_Hall '-C 2yc'
_cell_length_a 16.1791
_cell_length_b 7.3752
_cell_length_c 6.8462
_cell_angle_alpha 90.00
_cell_angle_beta 90.02
_cell_angle_gamma 90.00
loop_
_atom_site_label
_atom_site_fract_x
_atom_site_fract_y
_atom_site_fract_z
_atom_site_occupancy
Dy1 0.0000 0.9998 0.2500 1
Dy2 0.0945 0.3431 0.0003 1
Dy3 0.2293 0.0007 0.2501 1
Cd1 0.1146 0.2569 0.5003 1
```



What did the first record say?
The following is a calculated XRD peak list of Y4TmIn3. It was derived from a cell relaxed with GGA-PBE, using copper Kα.
Lines closer than 0.1° are merged.

Largest 12 diffraction maxima, sorted by position, 10 to 90 degrees two-theta:
| Position (°2θ) | intensity | h k l |
| --- | --- | --- |
| 23.2 | 6.8 | 1 0 4 |
| 30.1 | 11.7 | 1 0 7 |
| 32.8 | 88.9 | 0 1 8 |
| 33.4 | 100.0 | 1 1 0 |
| 47.5 | 30.9 | 2 0 8 |
| 58.1 | 9.7 | 1 0 16 |
| 59.3 | 31.2 | 1 2 8 |
| 59.8 | 18.2 | 3 0 0 |
| 62.1 | 8.9 | 1 1 15 |
| 70.2 | 11.1 | 2 2 0 |
| 78.6 | 7.9 | 2 1 16 |
| 79.7 | 13.1 | 3 1 8 |

```
data_Y4TmIn3
_chemical_formula_sum 'Y12 Tm3 In9'
_symmetry_space_group_name_H-M 'R -3 m'
_symmetry_Int_Tables_number 166
_symmetry_space_group_name_Hall '-R 3 2"'
_cell_length_a 5.3601
_cell_length_b 5.3601
_cell_length_c 27.0374
_cell_angle_alpha 90.00
_cell_angle_beta 90.00
_cell_angle_gamma 120.00
loop_
_atom_site_label
_atom_site_fract_x
_atom_site_fract_y
_atom_site_fract_z
_atom_site_occupancy
Y1 0.0000 0.0000 0.1153 1
Y2 0.0000 0.0000 0.3705 1
Tm1 0.0000 0.0000 0.5000 1
In1 0.0000 0.0000 0.0000 1
In2 0.0000 0.0000 0.2372 1
```